Starting from a PBE-relaxed structure, the powder diffraction line list of ZnSb2O4 was computed for copper Kα.

a b c (Å): 3.644 10.045 11.184
angles (deg): 90.00 90.00 90.00
Space group Pbcm (No. 57)
Asymmetric unit:
Zn1 0.155 0.142 0.250 (multiplicity 4)
Sb1 0.415 0.126 0.595 (multiplicity 8)
O1 0.264 0.750 0.000 (multiplicity 4)
O2 0.266 0.037 0.100 (multiplicity 8)
O3 0.332 0.741 0.750 (multiplicity 4)

Main lines, by angle (2θ from 10° to 90°):
two_theta	d (Å)	I/Imax
24.43	3.644	33
26.01	3.425	20
29.85	2.994	100
31.37	2.852	51
35.76	2.511	24
36.44	2.466	19
38.94	2.313	30
40.67	2.218	18
44.03	2.056	22
60.64	1.527	18